[1]
This entry pairs a crystal structure of PmTm2Zn3 with its theoretical powder diffraction line list. Radiation: Cu Kα, 1.54184 Å. Structure: a structure optimized by DFT (PBE).

Structural model:
a = 3.5623 Å, b = 3.5623 Å, c = 10.7384 Å
α = 90.00°, β = 90.00°, γ = 90.00°
Atoms (fractional coordinates):
Pm  0.0000  0.0000  0.0000
Tm  0.0000  0.0000  0.3374
Tm  0.0000  0.0000  0.6626
Zn  0.5000  0.5000  0.1810
Zn  0.5000  0.5000  0.5000
Zn  0.5000  0.5000  0.8190

Largest 10 diffraction maxima, low angle first, 10 to 90 degrees two-theta:
| 2θ (°) | Rel. int. |
| --- | --- |
| 24.9 | 6.4 |
| 25.0 | 12.2 |
| 35.6 | 100.0 |
| 44.0 | 5.8 |
| 51.0 | 5.6 |
| 51.3 | 11.8 |
| 63.8 | 11.3 |
| 64.0 | 23.6 |
| 75.3 | 6.9 |
| 86.3 | 10.5 |

---

[2]
This entry pairs a crystal structure of PrDy5Tl2 with its theoretical powder diffraction line list. Radiation: Cu Kα, 1.54184 Å. Structure: a structure optimized by DFT (PBE).

Structural model:
a = 8.4534 Å, b = 8.4534 Å, c = 8.4534 Å
α = 154.92°, β = 103.35°, γ = 82.14°
Atoms (fractional coordinates):
Pr  0.0000  0.0000  0.0000
Dy  0.1393  0.3652  0.7741
Dy  0.4090  0.6348  0.7741
Dy  0.5000  0.0000  0.5000
Dy  0.5910  0.3652  0.2259
Dy  0.8607  0.6348  0.2259
Tl  0.2405  0.7405  0.5000
Tl  0.7595  0.2595  0.5000

Largest 10 diffraction maxima, low angle first, 10 to 90 degrees two-theta:
| 2θ (°) | Rel. int. |
| --- | --- |
| 29.3 | 21.8 |
| 30.6 | 69.0 |
| 32.2 | 52.3 |
| 32.9 | 100.0 |
| 34.2 | 41.3 |
| 35.5 | 24.3 |
| 38.4 | 20.1 |
| 47.7 | 28.3 |
| 59.3 | 24.4 |
| 60.9 | 34.6 |

---

[3]
This entry pairs a crystal structure of Tb2PmDy9 with its theoretical powder diffraction line list. Radiation: Cu Kα, 1.54184 Å. Structure: a structure optimized by DFT (PBE).

Structural model:
a = 5.0250 Å, b = 5.0250 Å, c = 15.0799 Å
α = 90.00°, β = 90.00°, γ = 90.00°
Atoms (fractional coordinates):
Tb  0.0000  0.0000  0.1660
Tb  0.0000  0.0000  0.8340
Pm  0.0000  0.0000  0.5000
Dy  0.0000  0.5000  0.0000
Dy  0.0000  0.5000  0.3319
Dy  0.0000  0.5000  0.6681
Dy  0.5000  0.0000  0.0000
Dy  0.5000  0.0000  0.3319
Dy  0.5000  0.0000  0.6681
Dy  0.5000  0.5000  0.1657
Dy  0.5000  0.5000  0.5000
Dy  0.5000  0.5000  0.8343

Largest 8 diffraction maxima, low angle first, 10 to 90 degrees two-theta:
| 2θ (°) | Rel. int. |
| --- | --- |
| 30.8 | 100.0 |
| 35.7 | 50.6 |
| 51.4 | 36.0 |
| 61.2 | 42.8 |
| 64.2 | 12.3 |
| 75.7 | 5.7 |
| 83.9 | 17.8 |
| 86.6 | 16.6 |

---

[4]
This entry pairs a crystal structure of Ba2PaNb3O12 with its theoretical powder diffraction line list. Radiation: Cu Kα, 1.54184 Å. Structure: a structure optimized by DFT (PBE).

Structural model:
a = 7.7435 Å, b = 7.7435 Å, c = 7.7435 Å
α = 59.29°, β = 59.29°, γ = 59.29°
Atoms (fractional coordinates):
Ba  0.1899  0.1899  0.1899
Ba  0.8101  0.8101  0.8101
Pa  0.5000  0.5000  0.5000
Nb  0.0000  0.5000  0.5000
Nb  0.5000  0.0000  0.5000
Nb  0.5000  0.5000  0.0000
O  0.1613  0.5763  0.5763
O  0.1949  0.1949  0.5521
O  0.1949  0.5521  0.1949
O  0.4237  0.4237  0.8387
O  0.4237  0.8387  0.4237
O  0.4479  0.8051  0.8051
O  0.5521  0.1949  0.1949
O  0.5763  0.1613  0.5763
O  0.5763  0.5763  0.1613
O  0.8051  0.4479  0.8051
O  0.8051  0.8051  0.4479
O  0.8387  0.4237  0.4237

Largest 10 diffraction maxima, low angle first, 10 to 90 degrees two-theta:
| 2θ (°) | Rel. int. |
| --- | --- |
| 14.1 | 58.1 |
| 23.2 | 29.8 |
| 27.2 | 100.0 |
| 28.1 | 23.4 |
| 28.5 | 14.6 |
| 32.9 | 14.8 |
| 43.3 | 32.2 |
| 47.5 | 25.3 |
| 56.1 | 18.3 |
| 66.2 | 16.2 |

---

[5]
This entry pairs a crystal structure of ErB4W2 with its theoretical powder diffraction line list. Radiation: Cu Kα, 1.54184 Å. Structure: a structure optimized by DFT (PBE).

Structural model:
a = 7.7442 Å, b = 7.7442 Å, c = 5.7224 Å
α = 110.33°, β = 110.33°, γ = 31.70°
Atoms (fractional coordinates):
Er  0.2322  0.7678  0.7500
Er  0.7678  0.2322  0.2500
B  0.0094  0.2773  0.0774
B  0.0589  0.3221  0.4073
B  0.2773  0.0094  0.5774
B  0.3221  0.0589  0.9073
B  0.6779  0.9411  0.0927
B  0.7227  0.9906  0.4226
B  0.9411  0.6779  0.5927
B  0.9906  0.7227  0.9226
W  0.1811  0.4543  0.2414
W  0.4543  0.1811  0.7414
W  0.5457  0.8189  0.2586
W  0.8189  0.5457  0.7586

Largest 10 diffraction maxima, low angle first, 10 to 90 degrees two-theta:
| 2θ (°) | Rel. int. |
| --- | --- |
| 12.7 | 18.6 |
| 28.6 | 32.1 |
| 29.4 | 100.0 |
| 33.6 | 54.9 |
| 36.7 | 58.8 |
| 38.7 | 27.2 |
| 38.9 | 33.6 |
| 41.4 | 29.7 |
| 46.2 | 29.4 |
| 52.7 | 26.8 |

---

[6]
This entry pairs a crystal structure of Cu6Pd5Pb with its theoretical powder diffraction line list. Radiation: Cu Kα, 1.54184 Å. Structure: a structure optimized by DFT (PBE).

Structural model:
a = 7.2695 Å, b = 7.2695 Å, c = 7.2695 Å
α = 147.73°, β = 120.65°, γ = 69.19°
Atoms (fractional coordinates):
Cu  0.0647  0.3274  0.7373
Cu  0.2263  0.0000  0.2263
Cu  0.4099  0.6726  0.7373
Cu  0.5901  0.3274  0.2627
Cu  0.7737  0.0000  0.7737
Cu  0.9353  0.6726  0.2627
Pd  0.0000  0.5000  0.5000
Pd  0.1725  0.1725  0.0000
Pd  0.3398  0.8398  0.5000
Pd  0.6602  0.1602  0.5000
Pd  0.8275  0.8275  0.0000
Pb  0.5000  0.5000  0.0000

Largest 10 diffraction maxima, low angle first, 10 to 90 degrees two-theta:
| 2θ (°) | Rel. int. |
| --- | --- |
| 40.5 | 100.0 |
| 44.9 | 19.0 |
| 45.5 | 17.6 |
| 50.7 | 12.3 |
| 65.8 | 11.3 |
| 70.0 | 9.0 |
| 79.7 | 13.0 |
| 80.6 | 11.8 |
| 87.5 | 9.8 |
| 88.5 | 9.0 |

---

[7]
This entry pairs a crystal structure of BaTl2Cd2Pb with its theoretical powder diffraction line list. Radiation: Cu Kα, 1.54184 Å. Structure: a structure optimized by DFT (PBE).

Structural model:
a = 7.2294 Å, b = 9.5105 Å, c = 5.4155 Å
α = 90.00°, β = 90.00°, γ = 90.00°
Atoms (fractional coordinates):
Ba  0.0000  0.0000  0.0000
Ba  0.5000  0.5000  0.5000
Tl  0.2435  0.3372  0.0000
Tl  0.2565  0.8372  0.5000
Tl  0.7435  0.1628  0.5000
Tl  0.7565  0.6628  0.0000
Cd  0.2290  0.6616  0.0000
Cd  0.2710  0.1616  0.5000
Cd  0.7290  0.8384  0.5000
Cd  0.7710  0.3384  0.0000
Pb  0.0000  0.5000  0.5000
Pb  0.5000  0.0000  0.0000

Largest 10 diffraction maxima, low angle first, 10 to 90 degrees two-theta:
| 2θ (°) | Rel. int. |
| --- | --- |
| 31.1 | 44.1 |
| 31.2 | 100.0 |
| 32.7 | 93.8 |
| 33.1 | 45.8 |
| 45.7 | 19.8 |
| 46.0 | 30.0 |
| 57.5 | 20.0 |
| 57.9 | 17.4 |
| 58.9 | 17.5 |
| 61.5 | 28.5 |

---

[8]
This entry pairs a crystal structure of Th2Sc5 with its theoretical powder diffraction line list. Radiation: Cu Kα, 1.54184 Å. Structure: a structure optimized by DFT (PBE).

Structural model:
a = 8.1731 Å, b = 8.1731 Å, c = 8.1731 Å
α = 37.99°, β = 37.99°, γ = 37.99°
Atoms (fractional coordinates):
Th  0.2162  0.2162  0.2162
Th  0.7838  0.7838  0.7838
Sc  0.0670  0.0670  0.0670
Sc  0.3592  0.3592  0.3592
Sc  0.5000  0.5000  0.5000
Sc  0.6408  0.6408  0.6408
Sc  0.9330  0.9330  0.9330

Largest 10 diffraction maxima, low angle first, 10 to 90 degrees two-theta:
| 2θ (°) | Rel. int. |
| --- | --- |
| 11.7 | 17.0 |
| 20.8 | 36.4 |
| 24.9 | 14.4 |
| 27.6 | 19.4 |
| 33.7 | 100.0 |
| 48.4 | 17.7 |
| 60.2 | 11.1 |
| 60.3 | 18.2 |
| 60.5 | 8.7 |
| 70.8 | 8.0 |

---

[9]
This entry pairs a crystal structure of Zn4CuAgAu with its theoretical powder diffraction line list. Radiation: Cu Kα, 1.54184 Å. Structure: a structure optimized by DFT (PBE).

Structural model:
a = 6.9431 Å, b = 6.9431 Å, c = 8.5109 Å
α = 90.00°, β = 90.00°, γ = 137.97°
Atoms (fractional coordinates):
Zn  0.0000  0.5000  0.0000
Zn  0.0000  0.5000  0.5000
Zn  0.0403  0.9597  0.7500
Zn  0.4228  0.5772  0.7500
Zn  0.5000  0.0000  0.0000
Zn  0.5000  0.0000  0.5000
Zn  0.5772  0.4228  0.2500
Zn  0.9597  0.0403  0.2500
Cu  0.2293  0.7707  0.7500
Cu  0.7707  0.2293  0.2500
Ag  0.3767  0.6233  0.2500
Ag  0.6233  0.3767  0.7500
Au  0.1562  0.8438  0.2500
Au  0.8438  0.1562  0.7500

Largest 10 diffraction maxima, low angle first, 10 to 90 degrees two-theta:
| 2θ (°) | Rel. int. |
| --- | --- |
| 13.7 | 58.5 |
| 20.9 | 99.4 |
| 21.8 | 36.5 |
| 34.8 | 40.1 |
| 36.1 | 25.1 |
| 40.6 | 96.5 |
| 42.0 | 100.0 |
| 42.5 | 48.5 |
| 44.8 | 27.4 |
| 51.1 | 48.8 |

---

[10]
This entry pairs a crystal structure of Rb2ZrTe6 with its theoretical powder diffraction line list. Radiation: Cu Kα, 1.54184 Å. Structure: a structure optimized by DFT (PBE).

Structural model:
a = 9.1891 Å, b = 9.1891 Å, c = 5.2241 Å
α = 91.69°, β = 91.69°, γ = 61.09°
Atoms (fractional coordinates):
Rb  0.1813  0.1813  0.1196
Rb  0.8187  0.8187  0.8804
Zr  0.5000  0.5000  0.5000
Te  0.1559  0.5782  0.3804
Te  0.3168  0.6832  0.0000
Te  0.4218  0.8441  0.6196
Te  0.5782  0.1559  0.3804
Te  0.6832  0.3168  0.0000
Te  0.8441  0.4218  0.6196

Largest 10 diffraction maxima, low angle first, 10 to 90 degrees two-theta:
| 2θ (°) | Rel. int. |
| --- | --- |
| 11.0 | 64.0 |
| 19.0 | 25.7 |
| 19.3 | 31.2 |
| 20.1 | 33.9 |
| 28.2 | 100.0 |
| 29.2 | 30.1 |
| 33.9 | 65.4 |
| 34.0 | 30.2 |
| 35.9 | 41.5 |
| 38.0 | 25.1 |

---

[11]
This entry pairs a crystal structure of Ac4I2N3 with its theoretical powder diffraction line list. Radiation: Cu Kα, 1.54184 Å. Structure: a structure optimized by DFT (PBE).

Structural model:
a = 15.7747 Å, b = 15.0620 Å, c = 6.6111 Å
α = 83.74°, β = 71.64°, γ = 24.62°
Atoms (fractional coordinates):
Ac  0.0139  0.3447  0.9032
Ac  0.0968  0.7618  0.9861
Ac  0.2382  0.9032  0.3447
Ac  0.3447  0.0139  0.2382
Ac  0.6553  0.9861  0.7618
Ac  0.7618  0.0968  0.6553
Ac  0.9032  0.2382  0.0139
Ac  0.9861  0.6553  0.0968
I  0.2888  0.2888  0.4612
I  0.4612  0.4612  0.2888
I  0.5388  0.5388  0.7112
I  0.7112  0.7112  0.5388
N  0.1250  0.1250  0.1250
N  0.1259  0.1259  0.6241
N  0.3759  0.3759  0.8741
N  0.6241  0.6241  0.1259
N  0.8741  0.8741  0.3759
N  0.8750  0.8750  0.8750

Largest 10 diffraction maxima, low angle first, 10 to 90 degrees two-theta:
| 2θ (°) | Rel. int. |
| --- | --- |
| 18.0 | 17.5 |
| 24.2 | 45.3 |
| 27.1 | 100.0 |
| 27.7 | 55.1 |
| 32.7 | 25.9 |
| 34.5 | 37.2 |
| 38.8 | 26.9 |
| 47.9 | 21.9 |
| 55.6 | 23.4 |
| 55.8 | 18.4 |

---

[12]
This entry pairs a crystal structure of FeNiTe3 with its theoretical powder diffraction line list. Radiation: Cu Kα, 1.54184 Å. Structure: a structure optimized by DFT (PBE).

Structural model:
a = 6.8284 Å, b = 6.8284 Å, c = 5.3065 Å
α = 90.00°, β = 90.00°, γ = 120.00°
Atoms (fractional coordinates):
Fe  0.0000  0.0000  0.0000
Fe  0.0000  0.0000  0.5000
Ni  0.3333  0.6667  0.0000
Ni  0.3333  0.6667  0.5000
Te  0.3440  0.0092  0.2500
Te  0.3440  0.3348  0.7500
Te  0.6652  0.0092  0.7500
Te  0.6652  0.6560  0.2500
Te  0.9908  0.3348  0.2500
Te  0.9908  0.6560  0.7500

Largest 10 diffraction maxima, low angle first, 10 to 90 degrees two-theta:
| 2θ (°) | Rel. int. |
| --- | --- |
| 31.1 | 100.0 |
| 43.2 | 37.5 |
| 46.0 | 39.7 |
| 56.6 | 17.6 |
| 58.3 | 9.9 |
| 58.8 | 16.1 |
| 65.0 | 10.5 |
| 75.9 | 14.3 |
| 83.3 | 10.0 |
| 88.9 | 11.6 |